# 1
Starting from a GGA-PBE-relaxed structure, the X-ray powder pattern of PaBe11 was calculated for CuKα.
No peak broadening, texture or thermal motion is included.

Crystal structure
Lattice parameters (Å, degrees): 6.979 6.979 6.979 100.14 100.14 130.38
Sites, in units of the cell vectors:
Pa  0.375  0.625  0.750
Pa  0.625  0.375  0.250
Be  0.000  0.000  0.000
Be  0.000  0.000  0.500
Be  0.000  0.500  0.000
Be  0.125  0.875  0.250
Be  0.148  0.564  0.327
Be  0.148  0.820  0.584
Be  0.180  0.264  0.327
Be  0.180  0.852  0.916
Be  0.264  0.180  0.827
Be  0.264  0.436  0.084
Be  0.436  0.264  0.584
Be  0.436  0.852  0.173
Be  0.500  0.000  0.500
Be  0.564  0.148  0.827
Be  0.564  0.736  0.416
Be  0.736  0.564  0.916
Be  0.736  0.820  0.173
Be  0.820  0.148  0.084
Be  0.820  0.736  0.673
Be  0.852  0.180  0.416
Be  0.852  0.436  0.673
Be  0.875  0.125  0.750

Peak list (8 most intense, 10° ≤ 2θ ≤ 90°, sorted by position)
| 2θ/deg | intensity |
| --- | --- |
| 18.10 | 100.0 |
| 19.82 | 81.2 |
| 26.96 | 89.7 |
| 28.18 | 40.2 |
| 33.71 | 79.6 |
| 39.39 | 37.9 |
| 44.49 | 82.5 |
| 45.27 | 29.4 |

# 2
Starting from a GGA-PBE-relaxed structure, the X-ray powder pattern of Pa2Be17 was calculated for CuKα.
No peak broadening, texture or thermal motion is included.

Crystal structure
Lattice parameters (Å, degrees): 5.863 5.863 5.863 82.66 82.66 82.66
Sites, in units of the cell vectors:
Pa  0.159  0.159  0.159
Pa  0.841  0.841  0.841
Be  0.000  0.500  0.500
Be  0.162  0.162  0.657
Be  0.162  0.657  0.162
Be  0.223  0.500  0.777
Be  0.223  0.777  0.500
Be  0.343  0.838  0.838
Be  0.405  0.405  0.405
Be  0.500  0.000  0.500
Be  0.500  0.223  0.777
Be  0.500  0.500  0.000
Be  0.500  0.777  0.223
Be  0.595  0.595  0.595
Be  0.657  0.162  0.162
Be  0.777  0.223  0.500
Be  0.777  0.500  0.223
Be  0.838  0.343  0.838
Be  0.838  0.838  0.343

Peak list (8 most intense, 10° ≤ 2θ ≤ 90°, sorted by position)
| 2θ/deg | intensity |
| --- | --- |
| 15.34 | 66.5 |
| 20.47 | 22.0 |
| 22.97 | 100.0 |
| 23.45 | 31.3 |
| 33.06 | 89.2 |
| 40.34 | 28.9 |
| 47.19 | 39.7 |
| 68.75 | 24.0 |

# 3
Starting from a GGA-PBE-relaxed structure, the X-ray powder pattern of PaBePd was calculated for CuKα.
No peak broadening, texture or thermal motion is included.

Crystal structure
Lattice parameters (Å, degrees): 4.325 4.325 3.262 90.00 90.00 120.00
Sites, in units of the cell vectors:
Pa  0.000  0.000  0.000
Be  0.333  0.667  0.500
Pd  0.667  0.333  0.500

Peak list (8 most intense, 10° ≤ 2θ ≤ 90°, sorted by position)
| 2θ/deg | intensity |
| --- | --- |
| 23.75 | 60.5 |
| 36.52 | 100.0 |
| 41.77 | 45.4 |
| 48.61 | 9.4 |
| 56.67 | 28.6 |
| 62.06 | 9.2 |
| 72.60 | 18.0 |
| 72.83 | 27.3 |

# 4
Starting from a GGA-PBE-relaxed structure, the X-ray powder pattern of PaBePd6 was calculated for CuKα.
No peak broadening, texture or thermal motion is included.

Crystal structure
Lattice parameters (Å, degrees): 5.516 5.516 5.651 103.88 103.88 117.47
Sites, in units of the cell vectors:
Pa  0.000  0.000  0.000
Be  0.500  0.500  0.500
Pd  0.079  0.507  0.258
Pd  0.293  0.293  0.732
Pd  0.493  0.921  0.742
Pd  0.507  0.079  0.258
Pd  0.707  0.707  0.268
Pd  0.921  0.493  0.742

Peak list (8 most intense, 10° ≤ 2θ ≤ 90°, sorted by position)
| 2θ/deg | intensity |
| --- | --- |
| 31.79 | 54.2 |
| 33.12 | 44.4 |
| 36.76 | 83.5 |
| 36.97 | 88.3 |
| 38.18 | 67.9 |
| 42.01 | 100.0 |
| 54.19 | 38.2 |
| 57.51 | 36.9 |

# 5
Starting from a GGA-PBE-relaxed structure, the X-ray powder pattern of Pa2Be4PdPt3 was calculated for CuKα.
No peak broadening, texture or thermal motion is included.

Crystal structure
Lattice parameters (Å, degrees): 4.002 4.002 9.599 90.00 90.00 90.00
Sites, in units of the cell vectors:
Pa  0.000  0.500  0.242
Pa  0.500  0.000  0.758
Be  0.000  0.000  0.000
Be  0.000  0.500  0.627
Be  0.500  0.000  0.373
Be  0.500  0.500  0.000
Pd  0.000  0.000  0.500
Pt  0.000  0.500  0.870
Pt  0.500  0.000  0.130
Pt  0.500  0.500  0.500

Peak list (8 most intense, 10° ≤ 2θ ≤ 90°, sorted by position)
| 2θ/deg | intensity |
| --- | --- |
| 27.88 | 34.6 |
| 31.62 | 34.6 |
| 33.00 | 69.2 |
| 35.94 | 85.8 |
| 36.87 | 100.0 |
| 45.32 | 61.3 |
| 52.90 | 34.0 |
| 59.15 | 41.8 |

# 6
Starting from a GGA-PBE-relaxed structure, the X-ray powder pattern of PaBe2Pt2 was calculated for CuKα.
No peak broadening, texture or thermal motion is included.

Crystal structure
Lattice parameters (Å, degrees): 5.799 5.364 4.180 73.66 62.57 43.77
Sites, in units of the cell vectors:
Pa  0.000  0.000  0.000
Be  0.250  0.250  0.250
Be  0.750  0.750  0.750
Pt  0.355  0.355  0.645
Pt  0.645  0.645  0.355

Peak list (8 most intense, 10° ≤ 2θ ≤ 90°, sorted by position)
| 2θ/deg | intensity |
| --- | --- |
| 26.68 | 58.2 |
| 35.75 | 27.5 |
| 36.18 | 100.0 |
| 45.16 | 31.3 |
| 53.52 | 41.4 |
| 64.51 | 19.1 |
| 77.43 | 14.3 |
| 80.29 | 10.5 |